KP4N7: calculated X-ray diffraction stick pattern (a wavelength of 1.5418 Å), based on the PBE geometry in Alexandria.
Neutral-atom scattering factors, no anomalous dispersion.

Structure:
Unit cell a=9.941 b=12.367 c=4.708 alpha=90.00 beta=90.00 gamma=90.00
Space group Pnma (No. 62)
Inequivalent atoms, fractional coordinates:
1 K 0.152 0.250 0.243 (multiplicity 4)
2 P 0.089 0.631 0.214 (multiplicity 8)
3 P 0.157 0.000 0.721 (multiplicity 8)
4 N 0.061 0.102 0.680 (multiplicity 8)
5 N 0.114 0.607 0.882 (multiplicity 8)
6 N 0.132 0.750 0.299 (multiplicity 4)
7 N 0.200 0.543 0.385 (multiplicity 8)

Principal peaks in the range 15° ≤ 2θ ≤ 90°, low angle first:
- (2 1 1), 2θ 27.1, I = 14.8
- (2 3 0), 2θ 28.1, I = 29.1
- (0 3 1), 2θ 28.8, I = 33.9
- (2 2 1), 2θ 29.9, I = 100.0
- (2 4 0), 2θ 34.2, I = 25.4
- (4 0 0), 2θ 36.1, I = 25.1
- (0 0 2), 2θ 38.2, I = 29.8
- (6 4 0), 2θ 63.7, I = 12.2

TlCd2: calculated X-ray diffraction stick pattern (a wavelength of 1.5418 Å), based on the PBE geometry in Alexandria.
Neutral-atom scattering factors, no anomalous dispersion.

Structure:
Unit cell a=3.3003 b=3.3003 c=8.1606 alpha=90.00 beta=90.00 gamma=120.00
Space group P-3m1 (No. 164)
Inequivalent atoms, fractional coordinates:
1 Tl 0.0000 0.0000 0.0000 (multiplicity 1)
2 Cd 0.3333 0.6667 0.6537 (multiplicity 2)

Principal peaks in the range 15° ≤ 2θ ≤ 90°, low angle first:
- (0 0 3), 2θ 32.9, I = 31.4
- (1 0 1), 2θ 33.2, I = 100.0
- (0 1 2), 2θ 38.5, I = 63.9
- (1 0 4), 2θ 55.3, I = 23.7
- (1 1 0), 2θ 55.7, I = 21.4
- (0 1 5), 2θ 65.9, I = 11.8
- (1 1 3), 2θ 66.2, I = 24.4
- (0 2 1), 2θ 66.4, I = 13.3

HoTmGaSe: calculated X-ray diffraction stick pattern (a wavelength of 1.5418 Å), based on the PBE geometry in Alexandria.
Neutral-atom scattering factors, no anomalous dispersion.

Structure:
Unit cell a=3.9177 b=3.9177 c=21.7855 alpha=90.00 beta=90.00 gamma=120.00
Space group R3m (No. 160, hexagonal axes)
Inequivalent atoms, fractional coordinates:
1 Ho 0.0000 0.0000 0.0000 (multiplicity 3)
2 Tm 0.0000 0.0000 0.5022 (multiplicity 3)
3 Ga 0.0000 0.0000 0.7518 (multiplicity 3)
4 Se 0.0000 0.0000 0.2502 (multiplicity 3)

Principal peaks in the range 15° ≤ 2θ ≤ 90°, low angle first:
- (0 1 2), 2θ 27.5, I = 18.0
- (1 0 4), 2θ 31.1, I = 100.0
- (0 1 8), 2θ 42.6, I = 42.1
- (1 1 0), 2θ 46.4, I = 33.0
- (0 2 4), 2θ 56.8, I = 18.0
- (1 1 12), 2θ 70.8, I = 18.5
- (2 1 4), 2θ 76.3, I = 15.1
- (1 2 8), 2θ 83.3, I = 12.1